The following is a computed powder X-ray diffraction pattern of SrMg. It was derived from a cell relaxed with PBE, using CuKα.
Neutral-atom scattering factors, no anomalous dispersion.

Crystal structure
```
data_SrMg
_chemical_formula_sum 'Sr3 Mg3'
_space_group_name_H-M_alt 'P -6 m 2'
_space_group_IT_number 187
_space_group_name_Hall 'P -6 2'
_cell_length_a 4.2529
_cell_length_b 4.2529
_cell_length_c 15.8138
_cell_angle_alpha 90.00
_cell_angle_beta 90.00
_cell_angle_gamma 120.00
loop_
_atom_site_label
_atom_site_fract_x
_atom_site_fract_y
_atom_site_fract_z
Sr1 0.0000 0.0000 0.0000
Sr2 0.6667 0.3333 0.2231
Mg1 0.0000 0.0000 0.3884
Mg2 0.6667 0.3333 0.5000
```

Top 12 peaks for 5 to 70 degrees two-theta, in order of rising 2θ:
h k l  d (Å)  intensity
0 0 1  15.814  29.1
0 0 4  3.953  24.4
1 0 0  3.683  48.5
1 0 2  3.339  100.0
0 0 5  3.163  20.0
1 0 3  3.019  69.1
1 0 4  2.695  28.8
1 1 0  2.126  38.6
1 0 7  1.926  27.5
1 1 4  1.873  18.4
2 0 2  1.794  16.6
1 1 5  1.765  21.6

The following is a computed powder X-ray diffraction pattern of SrMg3. It was derived from a cell relaxed with PBE, using CuKα.
Neutral-atom scattering factors, no anomalous dispersion.

Crystal structure
```
data_SrMg3
_chemical_formula_sum 'Sr1 Mg3'
_space_group_name_H-M_alt 'P -6 m 2'
_space_group_IT_number 187
_space_group_name_Hall 'P -6 2'
_cell_length_a 3.5687
_cell_length_b 3.5687
_cell_length_c 10.9424
_cell_angle_alpha 90.00
_cell_angle_beta 90.00
_cell_angle_gamma 120.00
loop_
_atom_site_label
_atom_site_fract_x
_atom_site_fract_y
_atom_site_fract_z
Sr1 0.0000 0.0000 0.0000
Mg1 0.0000 0.0000 0.5000
Mg2 0.3333 0.6667 0.2718
```

Top 12 peaks for 5 to 70 degrees two-theta, in order of rising 2θ:
h k l  d (Å)  intensity
0 0 1  10.942  60.0
0 0 2  5.471  18.6
0 0 3  3.647  12.1
1 0 0  3.091  33.8
1 0 1  2.974  27.2
0 0 4  2.736  20.6
1 0 2  2.691  100.0
1 0 4  2.048  21.0
1 1 0  1.785  28.2
1 0 6  1.571  16.2
1 1 4  1.495  18.6
2 0 2  1.487  15.5

The following is a computed powder X-ray diffraction pattern of Sr3Mg. It was derived from a cell relaxed with PBE, using CuKα.
Neutral-atom scattering factors, no anomalous dispersion.

Crystal structure
```
data_Sr3Mg
_chemical_formula_sum 'Sr3 Mg1'
_space_group_name_H-M_alt 'P m m 2'
_space_group_IT_number 25
_space_group_name_Hall 'P 2 -2'
_cell_length_a 4.219
_cell_length_b 6.362
_cell_length_c 6.815
_cell_angle_alpha 90.00
_cell_angle_beta 90.00
_cell_angle_gamma 90.00
loop_
_atom_site_label
_atom_site_fract_x
_atom_site_fract_y
_atom_site_fract_z
Sr1 0.000 0.000 0.000
Sr2 0.000 0.500 0.357
Sr3 0.500 0.000 0.520
Mg1 0.500 0.500 0.852
```

Top 12 peaks for 5 to 70 degrees two-theta, in order of rising 2θ:
h k l  d (Å)  intensity
1 0 1  3.587  22.6
0 0 2  3.407  13.8
0 2 0  3.181  33.1
1 1 1  3.124  100.0
0 1 2  3.004  39.0
1 2 1  2.380  14.9
2 0 0  2.109  10.3
1 0 3  2.000  17.7
1 3 1  1.825  20.7
2 2 0  1.758  11.6
2 1 2  1.726  15.0
1 2 3  1.693  19.8